Ac2AlWO6: calculated powder XRD pattern (λ = 1.5418 Å (Cu Kα)), based on a crystal structure in Alexandria, relaxed with GGA+U.

Structural model:
```
Ac2AlWO6
1.0
0.0000 4.0284 4.0284
4.0284 0.0000 4.0284
4.0284 4.0284 0.0000
Ac Al W O
2 1 1 6
Cartesian
2.0142 2.0142 2.0142 Ac
6.0426 6.0426 6.0426 Ac
0.0000 0.0000 0.0000 Al
4.0284 4.0284 4.0284 W
4.0284 4.0284 1.9048 O
4.0284 1.9048 4.0284 O
6.1519 4.0284 4.0284 O
1.9048 4.0284 4.0284 O
4.0284 6.1519 4.0284 O
4.0284 4.0284 6.1519 O
```

The 8 most intense peaks (2θ = 15–90°), by intensity:
31.40 deg, rel. 100
55.91 deg, rel. 41
45.01 deg, rel. 27
74.48 deg, rel. 18
65.54 deg, rel. 17
19.08 deg, rel. 12
22.07 deg, rel. 12
38.72 deg, rel. 11